Entry 1:
Starting from a DFT-relaxed cell (GGA-PBE, OQMD), the X-ray diffraction stick pattern of NdY2Pd3Pb3 was calculated for Cu Kα (weighted mean of Kα1 and Kα2).
Neutral-atom scattering factors, no anomalous dispersion.

Cell and atoms:
Lattice parameters (Å, degrees): 3.920 13.674 7.868 90.00 90.00 90.00
Space group Amm2 (No. 38)
One atom of each set of equivalent atoms:
Nd: 0.000 0.000 0.000 [2 per cell]
Y: 0.000 0.200 0.602 [4 per cell]
Pd: 0.000 0.000 0.405 [2 per cell]
Pd: 0.500 0.169 0.902 [4 per cell]
Pb: 0.500 0.000 0.666 [2 per cell]
Pb: 0.500 0.134 0.272 [4 per cell]

Largest 12 diffraction maxima, by angle, 10 to 90 degrees two-theta:
2θ/deg  intensity  hkl
22.7  132  1 0 0
32.2  1000  1 0 2
34.8  553  1 4 0
34.9  597  1 2 2
39.5  155  0 6 0
39.6  262  0 3 3
41.9  380  1 4 2
46.3  214  2 0 0
59.1  150  2 5 1
59.2  165  2 4 2
62.5  217  2 6 0
64.0  229  1 8 2



Entry 2:
Starting from a DFT-relaxed cell (GGA-PBE, OQMD), the X-ray diffraction stick pattern of Ta4Nb2Fe3C3 was calculated for Cu Kα (weighted mean of Kα1 and Kα2).
Neutral-atom scattering factors, no anomalous dispersion.

Cell and atoms:
Lattice parameters (Å, degrees): 9.254 5.335 13.596 90.00 103.34 90.00
Space group C2/c (No. 15)
One atom of each set of equivalent atoms:
Ta: 0.114 0.086 0.092 [8 per cell]
Ta: 0.221 0.083 0.408 [8 per cell]
Nb: 0.046 0.417 0.892 [8 per cell]
Fe: 0.000 0.076 0.250 [4 per cell]
Fe: 0.245 0.339 0.250 [8 per cell]
C: 0.081 0.257 0.500 [8 per cell]
C: 0.250 0.250 0.000 [4 per cell]

Largest 12 diffraction maxima, by angle, 10 to 90 degrees two-theta:
2θ/deg  intensity  hkl
13.4  180  0 0 2
19.3  139  1 1 0
27.0  194  0 0 4
33.6  281  3 1 -1
34.3  480  0 2 1
39.4  1000  0 2 3
39.5  491  3 1 2
40.9  297  0 0 6
43.5  114  3 1 -5
43.6  152  3 1 3
60.0  403  6 0 -2
67.1  116  3 3 3